Computed powder X-ray diffraction pattern of Nd4TlAu for λ = 1.5418 Å (Cu Kα), from the PBE geometry in Alexandria.
Intensities are scaled so that the largest is 100.

Crystal structure
a b c (Å): 6.308 9.475 6.330
angles (deg): 90.00 104.02 90.00
Sites, in units of the cell vectors:
1 Nd 0.086 0.168 0.115
2 Nd 0.086 0.332 0.615
3 Nd 0.401 0.655 0.927
4 Nd 0.401 0.845 0.427
5 Nd 0.599 0.155 0.573
6 Nd 0.599 0.345 0.073
7 Nd 0.914 0.668 0.385
8 Nd 0.914 0.832 0.885
9 Tl 0.500 0.000 0.000
10 Tl 0.500 0.500 0.500
11 Au 0.000 0.000 0.500
12 Au 0.000 0.500 0.000

Peak list (10 most intense, 10° ≤ 2θ ≤ 90°, sorted by position)
2θ = 24.74°, I 18; 2θ = 29.08°, I 29; 2θ = 29.18°, I 31; 2θ = 29.72°, I 33; 2θ = 30.65°, I 55; 2θ = 33.60°, I 100; 2θ = 34.86°, I 18; 2θ = 36.07°, I 40; 2θ = 36.65°, I 33; 2θ = 63.29°, I 14

---

Computed powder X-ray diffraction pattern of Nd12Tl6Au for λ = 1.5418 Å (Cu Kα), from the PBE geometry in Alexandria.
Intensities are scaled so that the largest is 100.

Crystal structure
a b c (Å): 8.424 8.424 8.424
angles (deg): 92.16 92.16 92.16
Sites, in units of the cell vectors:
1 Nd 0.047 0.102 0.356
2 Nd 0.102 0.356 0.047
3 Nd 0.193 0.454 0.566
4 Nd 0.356 0.047 0.102
5 Nd 0.434 0.807 0.546
6 Nd 0.454 0.566 0.193
7 Nd 0.546 0.434 0.807
8 Nd 0.566 0.193 0.454
9 Nd 0.644 0.953 0.898
10 Nd 0.807 0.546 0.434
11 Nd 0.898 0.644 0.953
12 Nd 0.953 0.898 0.644
13 Tl 0.126 0.728 0.291
14 Tl 0.272 0.709 0.874
15 Tl 0.291 0.126 0.728
16 Tl 0.709 0.874 0.272
17 Tl 0.728 0.291 0.126
18 Tl 0.874 0.272 0.709
19 Au 0.000 0.000 0.000

Peak list (10 most intense, 10° ≤ 2θ ≤ 90°, sorted by position)
2θ = 30.65°, I 16; 2θ = 31.34°, I 100; 2θ = 31.92°, I 34; 2θ = 33.04°, I 31; 2θ = 33.29°, I 89; 2θ = 34.10°, I 40; 2θ = 35.26°, I 27; 2θ = 54.53°, I 18; 2θ = 58.27°, I 17; 2θ = 61.73°, I 15

---

Computed powder X-ray diffraction pattern of Nd6Tl5Au for λ = 1.5418 Å (Cu Kα), from the PBE geometry in Alexandria.
Intensities are scaled so that the largest is 100.

Crystal structure
a b c (Å): 8.658 8.658 7.815
angles (deg): 90.00 90.00 143.19
Sites, in units of the cell vectors:
1 Nd 0.000 0.000 0.240
2 Nd 0.000 0.000 0.760
3 Nd 0.339 0.661 0.245
4 Nd 0.339 0.661 0.755
5 Nd 0.661 0.339 0.245
6 Nd 0.661 0.339 0.755
7 Tl 0.168 0.832 0.000
8 Tl 0.169 0.831 0.500
9 Tl 0.500 0.500 0.500
10 Tl 0.831 0.169 0.500
11 Tl 0.832 0.168 0.000
12 Au 0.500 0.500 0.000

Peak list (10 most intense, 10° ≤ 2θ ≤ 90°, sorted by position)
2θ = 32.57°, I 100; 2θ = 32.73°, I 49; 2θ = 46.48°, I 9; 2θ = 46.97°, I 18; 2θ = 58.01°, I 19; 2θ = 58.32°, I 38; 2θ = 68.22°, I 12; 2θ = 77.29°, I 8; 2θ = 78.04°, I 12; 2θ = 78.16°, I 4

---

Computed powder X-ray diffraction pattern of Nd2TmAu3 for λ = 1.5418 Å (Cu Kα), from the PBE geometry in Alexandria.
Intensities are scaled so that the largest is 100.

Crystal structure
a b c (Å): 5.159 15.731 3.637
angles (deg): 90.00 90.00 90.00
Sites, in units of the cell vectors:
1 Nd 0.250 0.082 0.001
2 Nd 0.250 0.418 0.001
3 Nd 0.750 0.582 0.999
4 Nd 0.750 0.918 0.999
5 Tm 0.250 0.750 0.999
6 Tm 0.750 0.250 0.001
7 Au 0.250 0.250 0.502
8 Au 0.250 0.597 0.499
9 Au 0.250 0.903 0.499
10 Au 0.750 0.097 0.501
11 Au 0.750 0.403 0.501
12 Au 0.750 0.750 0.498

Peak list (10 most intense, 10° ≤ 2θ ≤ 90°, sorted by position)
2θ = 34.20°, I 19; 2θ = 34.71°, I 100; 2θ = 49.58°, I 14; 2θ = 50.17°, I 7; 2θ = 61.55°, I 13; 2θ = 62.12°, I 7; 2θ = 62.29°, I 15; 2θ = 62.49°, I 8; 2θ = 73.20°, I 9; 2θ = 84.07°, I 7

---

Computed powder X-ray diffraction pattern of NdYAu for λ = 1.5418 Å (Cu Kα), from the PBE geometry in Alexandria.
Intensities are scaled so that the largest is 100.

Crystal structure
a b c (Å): 7.405 4.992 13.801
angles (deg): 90.00 93.02 90.00
Sites, in units of the cell vectors:
1 Nd 0.006 0.250 0.284
2 Nd 0.389 0.250 0.079
3 Nd 0.481 0.250 0.376
4 Nd 0.519 0.750 0.624
5 Nd 0.611 0.750 0.921
6 Nd 0.994 0.750 0.716
7 Y 0.043 0.750 0.087
8 Y 0.139 0.750 0.455
9 Y 0.338 0.250 0.781
10 Y 0.662 0.750 0.219
11 Y 0.861 0.250 0.545
12 Y 0.957 0.250 0.913
13 Au 0.212 0.750 0.902
14 Au 0.257 0.250 0.564
15 Au 0.281 0.750 0.259
16 Au 0.719 0.250 0.741
17 Au 0.743 0.750 0.436
18 Au 0.788 0.250 0.098

Peak list (10 most intense, 10° ≤ 2θ ≤ 90°, sorted by position)
2θ = 22.24°, I 49; 2θ = 28.61°, I 47; 2θ = 29.48°, I 52; 2θ = 30.08°, I 33; 2θ = 30.51°, I 56; 2θ = 31.55°, I 58; 2θ = 33.34°, I 92; 2θ = 35.30°, I 27; 2θ = 35.98°, I 100; 2θ = 39.21°, I 49